# 1
# LaPmNd2Tm
Simulated X-ray diffraction stick pattern, a wavelength of 1.5418 Å. Input: a structure optimized by DFT (PBE).
Neutral-atom scattering factors, no anomalous dispersion.

Peak list (10 most intense, 2θ = 5–70°, sorted by position)
h k l	2θ (°)	Rel. int.
2 0 0	20.8	310
2 1 -1	27.6	583
0 0 2	28.3	455
1 2 0	29.2	1000
2 1 1	29.7	722
0 1 2	31.5	291
1 2 -1	32.1	425
1 1 2	34.1	359
3 1 -1	36.0	310
3 1 -2	42.9	352

a b c (Å): 8.5961 6.5437 6.3412
angles (deg): 90.00 95.68 90.00
Space group P2/c (No. 13)
Symmetry-distinct sites (fractional):
La 0.0000 0.0000 0.0000 x2
Pm 0.0000 0.4398 0.2500 x2
Nd 0.3138 0.3101 0.7183 x4
Tm 0.5000 0.1672 0.2500 x2

=====

# 2
# Rb3U3RuS8
Simulated X-ray diffraction stick pattern, a wavelength of 1.5418 Å. Input: a structure optimized by DFT (PBE).
Neutral-atom scattering factors, no anomalous dispersion.

Peak list (10 most intense, 2θ = 5–70°, sorted by position)
h k l	2θ (°)	Rel. int.
0 0 3	11.0	876
0 0 6	22.1	331
0 2 1	27.1	198
2 0 2	27.9	484
0 2 4	30.8	1000
0 2 7	37.7	192
2 0 8	40.5	401
0 2 10	46.6	192
2 2 0	47.5	307
2 2 6	53.0	211

a b c (Å): 7.6590 7.6590 24.0919
angles (deg): 90.00 90.00 120.00
Space group R-3m (No. 166, hexagonal axes)
Symmetry-distinct sites (fractional):
Rb 0.0000 0.5000 0.0000 x9
U 0.0000 0.5000 0.5000 x9
Ru 0.0000 0.0000 0.5000 x3
S 0.0000 0.0000 0.2332 x6
S 0.0220 0.5110 0.2274 x18

=====

# 3
# NdDy2Y6Sc
Simulated X-ray diffraction stick pattern, a wavelength of 1.5418 Å. Input: a structure optimized by DFT (PBE).
Neutral-atom scattering factors, no anomalous dispersion.

Peak list (10 most intense, 2θ = 5–70°, sorted by position)
h k l	2θ (°)	Rel. int.
1 3 -1	21.8	411
1 3 2	28.5	705
3 1 0	29.4	248
2 2 -2	29.8	1000
2 2 2	30.7	652
3 1 -1	30.8	361
2 4 -1	31.3	466
1 5 -1	31.5	673
2 4 1	31.7	698
0 2 3	32.8	787

a b c (Å): 9.2876 15.7798 8.7496
angles (deg): 90.00 91.95 90.00
Space group C2/c (No. 15)
Symmetry-distinct sites (fractional):
Nd 0.0000 0.0325 0.2500 x4
Dy 0.2334 0.4447 0.4426 x8
Y 0.0374 0.1711 0.9481 x8
Y 0.1053 0.3709 0.0911 x8
Y 0.2466 0.2937 0.7069 x8
Sc 0.0000 0.4438 0.7500 x4